(1)
Starting from DFT lattice parameters and positions (GGA-PBE), the powder XRD pattern of K4Th3S8 was simulated for Cu Kα X-rays.
Neutral-atom scattering factors, no anomalous dispersion.

Most intense lines, 2θ = 10–80°, in order of rising 2θ:
2θ 11.27, rel. 100.0, (0 0 3); 2θ 24.40, rel. 50.7, (0 2 1); 2θ 28.53, rel. 60.5, (0 2 4); 2θ 36.12, rel. 35.7, (0 2 7); 2θ 39.14, rel. 27.8, (2 0 8); 2θ 42.39, rel. 28.7, (2 2 0)

Crystal structure
Unit cell a=8.5285 b=8.5285 c=23.5461 alpha=90.00 beta=90.00 gamma=120.00
Space group R-3m (No. 166, hexagonal axes)
Asymmetric unit:
K1 0.0000 0.0000 0.0000 x3
K2 0.0000 0.0000 0.1420 x6
K3 0.0000 0.0000 0.5000 x3
Th1 0.0000 0.5000 0.0000 x9
S1 0.0000 0.0000 0.2722 x6
S2 0.0318 0.5159 0.2696 x18


(2)
Starting from DFT lattice parameters and positions (GGA-PBE), the powder XRD pattern of VPPdCl2 was simulated for Cu Kα X-rays.
Neutral-atom scattering factors, no anomalous dispersion.

Most intense lines, 2θ = 10–80°, in order of rising 2θ:
2θ 27.03, rel. 100.0, (1 0 1); 2θ 27.90, rel. 38.8, (1 1 0); 2θ 33.63, rel. 88.4, (1 1 1); 2θ 37.31, rel. 43.3, (0 0 2); 2θ 39.86, rel. 71.0, (2 0 0); 2θ 55.74, rel. 49.6, (2 0 2)

Crystal structure
Unit cell a=4.523 b=4.523 c=4.820 alpha=90.00 beta=90.00 gamma=90.00
Space group P4/mmm (No. 123)
Asymmetric unit:
V1 0.000 0.000 0.000 x1
P1 0.000 0.000 0.500 x1
Pd1 0.500 0.500 0.500 x1
Cl1 0.000 0.500 0.000 x2


(3)
Starting from DFT lattice parameters and positions (GGA-PBE), the powder XRD pattern of AlGaAu5 was simulated for Cu Kα X-rays.
Neutral-atom scattering factors, no anomalous dispersion.

Most intense lines, 2θ = 10–80°, in order of rising 2θ:
2θ 28.70, rel. 70.5, (2 0 -2); 2θ 32.07, rel. 56.7, (0 4 0); 2θ 36.88, rel. 59.9, (0 0 2); 2θ 37.31, rel. 65.2, (4 0 -2); 2θ 39.83, rel. 100.0, (2 4 0); 2θ 43.57, rel. 72.6, (2 4 -2)

Crystal structure
Unit cell a=9.866 b=11.166 c=6.221 alpha=90.00 beta=128.42 gamma=90.00
Space group C2/c (No. 15)
Asymmetric unit:
Al1 0.000 0.007 0.250 x4
Ga1 0.000 0.500 0.000 x4
Au1 0.000 0.301 0.250 x4
Au2 0.202 0.130 0.716 x8
Au3 0.205 0.130 0.189 x8


(4)
Starting from DFT lattice parameters and positions (GGA-PBE), the powder XRD pattern of Re4Rh2C was simulated for Cu Kα X-rays.
Neutral-atom scattering factors, no anomalous dispersion.

Most intense lines, 2θ = 10–80°, in order of rising 2θ:
2θ 34.36, rel. 100.0, (1 1 2); 2θ 42.64, rel. 98.9, (1 1 4); 2θ 43.08, rel. 32.0, (0 0 6); 2θ 44.70, rel. 67.4, (2 0 0); 2θ 63.82, rel. 40.0, (2 0 6); 2θ 65.06, rel. 22.0, (2 2 0)

Crystal structure
Unit cell a=4.055 b=4.055 c=12.599 alpha=90.00 beta=90.00 gamma=90.00
Space group I4/mmm (No. 139)
Asymmetric unit:
Re1 0.000 0.000 0.161 x4
Re2 0.000 0.500 0.000 x4
Rh1 0.000 0.000 0.355 x4
C1 0.000 0.000 0.000 x2